1.
Calculated powder diffraction line list of LiReN for copper Kα, from a structure optimized by DFT (PBE).
Peak positions follow from Bragg's law for the DFT cell and can differ from measured ones.

abc: 3.575 3.575 9.369
angles: 90.00 90.00 120.00
Atoms (fractional coordinates):
Li 0.333 0.667 0.137
Li 0.667 0.333 0.863
Re 0.333 0.667 0.430
Re 0.667 0.333 0.570
N 0.333 0.667 0.649
N 0.667 0.333 0.351

Most intense lines, 2θ from 10° to 80°, low angle first:
two_theta  I (rel.)
18.95  59.0
30.41  100.0
34.73  92.9
41.05  95.7
48.75  67.5
52.09  58.7

=====

2.
Calculated powder diffraction line list of Li3Re2N4 for copper Kα, from a structure optimized by DFT (PBE).
Peak positions follow from Bragg's law for the DFT cell and can differ from measured ones.

abc: 5.561 5.561 7.773
angles: 123.48 123.48 29.85
Atoms (fractional coordinates):
Li 0.000 0.000 0.000
Li 0.367 0.367 0.634
Li 0.633 0.633 0.366
Re 0.214 0.214 0.833
Re 0.786 0.786 0.167
N 0.247 0.247 0.312
N 0.410 0.410 0.122
N 0.590 0.590 0.878
N 0.753 0.753 0.688

Most intense lines, 2θ from 10° to 80°, low angle first:
two_theta  I (rel.)
13.88  68.4
16.68  100.0
20.13  94.1
38.13  31.8
39.52  33.9
41.79  42.8

=====

3.
Calculated powder diffraction line list of Li5Re2N5 for copper Kα, from a structure optimized by DFT (PBE).
Peak positions follow from Bragg's law for the DFT cell and can differ from measured ones.

abc: 5.347 5.347 8.787
angles: 108.43 108.43 31.30
Atoms (fractional coordinates):
Li 0.000 0.000 0.000
Li 0.173 0.173 0.576
Li 0.252 0.252 0.873
Li 0.748 0.748 0.127
Li 0.827 0.827 0.424
Re 0.471 0.471 0.705
Re 0.529 0.529 0.295
N 0.169 0.169 0.295
N 0.396 0.396 0.102
N 0.500 0.500 0.500
N 0.604 0.604 0.898
N 0.831 0.831 0.705

Most intense lines, 2θ from 10° to 80°, low angle first:
two_theta  I (rel.)
18.24  100.0
21.41  53.9
23.16  64.7
32.37  75.6
41.94  35.1
42.85  33.6

=====

4.
Calculated powder diffraction line list of Li2ScReN4 for copper Kα, from a structure optimized by DFT (PBE).
Peak positions follow from Bragg's law for the DFT cell and can differ from measured ones.

abc: 6.556 6.556 6.556
angles: 117.71 107.74 103.32
Atoms (fractional coordinates):
Li 0.072 0.322 0.750
Li 0.428 0.178 0.250
Li 0.571 0.250 0.821
Li 0.929 0.750 0.679
Sc 0.061 0.811 0.250
Sc 0.439 0.689 0.750
Re 0.580 0.750 0.330
Re 0.920 0.250 0.170
N 0.035 0.008 0.073
N 0.066 0.492 0.527
N 0.434 0.961 0.427
N 0.465 0.539 0.973
N 0.553 0.566 0.469
N 0.597 0.084 0.031
N 0.903 0.934 0.487
N 0.947 0.416 0.013

Most intense lines, 2θ from 10° to 80°, low angle first:
two_theta  I (rel.)
17.39  100.0
21.86  29.4
28.07  61.0
28.76  54.0
30.82  32.1
31.94  26.1

=====

5.
Calculated powder diffraction line list of Li3RhN for copper Kα, from a structure optimized by DFT (PBE).
Peak positions follow from Bragg's law for the DFT cell and can differ from measured ones.

abc: 5.827 5.827 4.450
angles: 90.00 90.00 122.01
Atoms (fractional coordinates):
Li 0.096 0.904 0.500
Li 0.099 0.439 0.441
Li 0.439 0.099 0.941
Li 0.561 0.901 0.441
Li 0.901 0.561 0.941
Li 0.904 0.096 0.000
Rh 0.422 0.578 0.927
Rh 0.578 0.422 0.427
N 0.257 0.743 0.741
N 0.743 0.257 0.241

Most intense lines, 2θ from 10° to 80°, low angle first:
two_theta  I (rel.)
17.95  100.0
26.59  33.0
26.96  26.2
31.68  19.6
36.89  36.1
41.82  27.8

=====

6.
Calculated powder diffraction line list of Li2Rh6N for copper Kα, from a structure optimized by DFT (PBE).
Peak positions follow from Bragg's law for the DFT cell and can differ from measured ones.

abc: 5.532 5.532 5.532
angles: 120.20 120.20 89.65
Atoms (fractional coordinates):
Li 0.250 0.750 0.500
Li 0.750 0.250 0.500
Rh 0.240 0.240 0.480
Rh 0.240 0.760 0.000
Rh 0.242 0.242 0.000
Rh 0.758 0.758 0.000
Rh 0.760 0.240 0.000
Rh 0.760 0.760 0.520
N 0.500 0.500 0.000

Most intense lines, 2θ from 10° to 80°, low angle first:
two_theta  I (rel.)
22.80  26.8
32.37  15.6
39.96  100.0
46.28  17.6
46.58  34.4
67.76  21.4